1.
Computed XRD peak list
Compound: PuScIr
Radiation: Cu Ka
Structure: DFT lattice parameters and positions (PBE)
Kinematic intensities with the Lorentz-polarization factor, no thermal factor.

Structural model:
```
data_PuScIr
_chemical_formula_sum 'Pu4 Sc4 Ir4'
_cell_length_a 6.5751
_cell_length_b 6.5751
_cell_length_c 6.5751
_cell_angle_alpha 90.00
_cell_angle_beta 90.00
_cell_angle_gamma 90.00
_space_group_name_H-M_alt 'F -4 3 m'
_space_group_IT_number 216
_space_group_name_Hall 'F -4 2 3'
loop_
_atom_site_label
_atom_site_fract_x
_atom_site_fract_y
_atom_site_fract_z
Pu1 0.0000 0.0000 0.0000
Sc1 0.0000 0.0000 0.5000
Ir1 0.2500 0.2500 0.7500
```

The 12 most intense peaks (10° ≤ 2θ ≤ 90°), sorted by position:
23.4 deg, I 77.8, (1 1 1); 27.1 deg, I 4.7, (2 0 0); 38.7 deg, I 100.0, (2 2 0); 45.8 deg, I 41.7, (3 1 1); 47.9 deg, I 1.3, (2 2 2); 55.9 deg, I 17.4, (4 0 0); 61.5 deg, I 17.8, (3 3 1); 63.2 deg, I 1.7, (4 2 0); 70.1 deg, I 35.6, (4 2 2); 75.1 deg, I 13.5, (5 1 1); 83.1 deg, I 11.4, (4 4 0); 87.8 deg, I 14.3, (5 3 1)



2.
Computed XRD peak list
Compound: PuSi3Ir5
Radiation: Cu Ka
Structure: DFT lattice parameters and positions (PBE)
Kinematic intensities with the Lorentz-polarization factor, no thermal factor.

Structural model:
```
data_PuSi3Ir5
_chemical_formula_sum 'Pu4 Si12 Ir20'
_cell_length_a 3.9200
_cell_length_b 12.4159
_cell_length_c 12.2992
_cell_angle_alpha 90.00
_cell_angle_beta 90.00
_cell_angle_gamma 90.00
_space_group_name_H-M_alt 'C m c m'
_space_group_IT_number 63
_space_group_name_Hall '-C 2c 2'
loop_
_atom_site_label
_atom_site_fract_x
_atom_site_fract_y
_atom_site_fract_z
Pu1 0.0000 0.1532 0.2500
Si1 0.0000 0.1250 0.7500
Si2 0.0000 0.3859 0.5437
Ir1 0.0000 0.0000 0.0000
Ir2 0.0000 0.2044 0.5728
Ir3 0.0000 0.4460 0.1459
```

The 12 most intense peaks (10° ≤ 2θ ≤ 90°), sorted by position:
26.0 deg, I 64.2, (0 2 3); 31.4 deg, I 54.6, (1 3 0); 32.3 deg, I 93.8, (0 4 2); 32.4 deg, I 100.0, (1 1 3); 34.7 deg, I 37.1, (1 3 2); 37.9 deg, I 93.2, (1 1 4); 43.1 deg, I 39.5, (1 5 0); 45.7 deg, I 29.8, (1 5 2); 46.3 deg, I 58.2, (2 0 0); 46.7 deg, I 42.4, (0 2 6); 57.8 deg, I 28.1, (1 5 5); 67.9 deg, I 28.1, (2 2 6)



3.
Computed XRD peak list
Compound: Pu2Si5Ir
Radiation: Cu Ka
Structure: DFT lattice parameters and positions (PBE)
Kinematic intensities with the Lorentz-polarization factor, no thermal factor.

Structural model:
```
data_Pu2Si5Ir
_chemical_formula_sum 'Pu4 Si10 Ir2'
_cell_length_a 5.8506
_cell_length_b 5.8506
_cell_length_c 8.4928
_cell_angle_alpha 90.00
_cell_angle_beta 90.00
_cell_angle_gamma 90.00
_space_group_name_H-M_alt 'I 4 m m'
_space_group_IT_number 107
_space_group_name_Hall 'I 4 -2'
loop_
_atom_site_label
_atom_site_fract_x
_atom_site_fract_y
_atom_site_fract_z
Pu1 0.0000 0.5000 0.0000
Si1 0.0000 0.0000 0.4559
Si2 0.2090 0.2090 0.2450
Ir1 0.0000 0.0000 0.7313
```

The 12 most intense peaks (10° ≤ 2θ ≤ 90°), sorted by position:
18.4 deg, I 19.9, (1 0 1); 21.5 deg, I 16.1, (1 1 0); 30.2 deg, I 100.0, (1 1 2); 30.6 deg, I 40.9, (2 0 0); 35.9 deg, I 14.1, (2 1 1); 37.3 deg, I 23.7, (2 0 2); 42.6 deg, I 14.7, (0 0 4); 43.8 deg, I 27.2, (2 2 0); 53.3 deg, I 16.5, (2 0 4); 54.1 deg, I 37.3, (3 1 2); 62.7 deg, I 17.7, (2 2 4); 88.2 deg, I 11.6, (5 1 2)



4.
Computed XRD peak list
Compound: Pu2Si3Ir
Radiation: Cu Ka
Structure: DFT lattice parameters and positions (PBE)
Kinematic intensities with the Lorentz-polarization factor, no thermal factor.

Structural model:
```
data_Pu2Si3Ir
_chemical_formula_sum 'Pu16 Si24 Ir8'
_cell_length_a 7.9825
_cell_length_b 8.2180
_cell_length_c 14.1131
_cell_angle_alpha 90.00
_cell_angle_beta 90.00
_cell_angle_gamma 90.00
_space_group_name_H-M_alt 'F m m m'
_space_group_IT_number 69
_space_group_name_Hall '-F 2 2'
loop_
_atom_site_label
_atom_site_fract_x
_atom_site_fract_y
_atom_site_fract_z
Pu1 0.2453 0.0000 0.0000
Pu2 0.2500 0.2500 0.2500
Si1 0.0000 0.0000 0.3345
Si2 0.0000 0.2455 0.4173
Ir1 0.0000 0.0000 0.1649
```

The 12 most intense peaks (10° ≤ 2θ ≤ 90°), sorted by position:
24.5 deg, I 14.4, (1 1 3); 25.1 deg, I 32.0, (0 2 2); 25.2 deg, I 14.8, (0 0 4); 33.8 deg, I 100.0, (2 2 2); 33.9 deg, I 51.3, (2 0 4); 44.1 deg, I 18.4, (0 4 0); 44.4 deg, I 36.1, (0 2 6); 45.4 deg, I 16.8, (4 0 0); 52.6 deg, I 13.4, (4 2 2); 56.8 deg, I 24.3, (2 4 4); 65.4 deg, I 23.2, (4 2 6); 76.5 deg, I 14.9, (6 0 4)